(1)
Theoretical powder diffraction line list of Sm3Sb2Te for a wavelength of 1.5418 Å, from a cell relaxed with PBE.
Lines closer than 0.1° are merged.

Main lines, low angle first (2θ = 10–90°):
2θ (°)  Rel. int.  index
28.29  100  1 3 1
40.44  76  1 3 -3
50.09  27  0 0 4
58.52  13  2 6 2
66.25  35  0 6 4
73.53  21  2 0 -6
73.62  4  1 3 5
87.45  7  2 6 -6

Crystal structure
Cell lengths 7.731, 13.386, 7.723 Å; angles 90.00, 109.53, 90.00 degrees
Space group C2/c (No. 15)
Unique sites:
Sm: 0.242 0.086 0.499
Sm: 0.250 0.250 0.000
Sb: 0.000 0.084 0.750
Sb: 0.000 0.252 0.250
Te: 0.000 0.418 0.750

(2)
Theoretical powder diffraction line list of ThSiW for a wavelength of 1.5418 Å, from a cell relaxed with PBE.
Lines closer than 0.1° are merged.

Main lines, low angle first (2θ = 10–90°):
2θ (°)  Rel. int.  index
25.80  47  1 1 0
28.83  60  0 0 2
29.61  42  1 1 1
35.15  74  0 4 1
37.47  100  1 3 1
39.06  50  1 1 2
56.92  25  1 3 3
62.81  28  2 4 1

Crystal structure
Cell lengths 3.630, 11.208, 6.195 Å; angles 90.00, 90.00, 90.00 degrees
Space group Cmc2_1 (No. 36)
Unique sites:
Th: 0.000 0.210 0.000
Si: 0.000 0.459 0.236
W: 0.000 0.060 0.454

(3)
Theoretical powder diffraction line list of Hf3AlAu2 for a wavelength of 1.5418 Å, from a cell relaxed with PBE.
Lines closer than 0.1° are merged.

Main lines, low angle first (2θ = 10–90°):
2θ (°)  Rel. int.  index
25.12  21  2 2 2
35.83  31  4 2 2
38.08  100  3 3 3
41.61  22  4 4 0
44.26  11  4 4 2
57.67  15  7 3 1
64.38  34  6 6 0
77.32  17  9 3 3

Crystal structure
Cell lengths 12.279, 12.279, 12.279 Å; angles 90.00, 90.00, 90.00 degrees
Space group Fd-3m (No. 227, origin choice 2)
Unique sites:
Hf: 0.070 0.375 0.375
Al: 0.000 0.000 0.500
Au: 0.036 0.036 0.714

(4)
Theoretical powder diffraction line list of Hf2Sc4Sn3N3 for a wavelength of 1.5418 Å, from a cell relaxed with PBE.
Lines closer than 0.1° are merged.

Main lines, low angle first (2θ = 10–90°):
2θ (°)  Rel. int.  index
31.33  21  3 1 -1
36.64  100  0 2 3
37.57  19  0 0 6
49.70  16  3 1 -7
55.76  21  6 0 -2
67.20  17  0 2 9
68.59  16  6 2 -5
69.19  19  6 0 -8

Crystal structure
Cell lengths 9.889, 5.712, 14.739 Å; angles 90.00, 102.97, 90.00 degrees
Space group C2/c (No. 15)
Unique sites:
Hf: 0.058 0.085 0.419
Sc: 0.111 0.421 0.584
Sc: 0.220 0.414 0.916
Sn: 0.000 0.413 0.250
Sn: 0.164 0.081 0.749
N: 0.082 0.245 0.000
N: 0.250 0.250 0.500

(5)
Theoretical powder diffraction line list of BaIn3Ir for a wavelength of 1.5418 Å, from a cell relaxed with PBE.
Lines closer than 0.1° are merged.

Main lines, low angle first (2θ = 10–90°):
2θ (°)  Rel. int.  index
17.10  49  1 0 1
24.17  54  1 2 1
27.89  28  1 1 2
30.55  29  2 2 0
34.32  50  0 4 0
34.59  100  2 0 2
49.52  55  2 4 2
51.76  27  4 0 0

Crystal structure
Cell lengths 7.065, 10.453, 7.638 Å; angles 90.00, 90.00, 90.00 degrees
Space group Imma (No. 74)
Unique sites:
Ba: 0.000 0.250 0.066
In: 0.000 0.250 0.553
In: 0.250 0.033 0.750
Ir: 0.000 0.000 0.500

(6)
Theoretical powder diffraction line list of Li5Cu for a wavelength of 1.5418 Å, from a cell relaxed with PBE.
Lines closer than 0.1° are merged.

Main lines, low angle first (2θ = 10–90°):
2θ (°)  Rel. int.  index
17.90  90  0 0 4
20.99  61  0 2 0
22.85  100  0 2 2
27.72  60  0 2 4
38.44  33  2 0 2
44.21  40  2 2 2
46.66  36  2 0 6
47.12  34  2 2 4

Crystal structure
Cell lengths 4.819, 8.465, 19.824 Å; angles 90.00, 90.00, 90.00 degrees
Space group Fmmm (No. 69)
Unique sites:
Li: 0.000 0.000 0.071
Li: 0.000 0.000 0.213
Li: 0.000 0.165 0.359
Li: 0.000 0.165 0.500
Cu: 0.250 0.250 0.250

(7)
Theoretical powder diffraction line list of ErTmAlCo2 for a wavelength of 1.5418 Å, from a cell relaxed with PBE.
Lines closer than 0.1° are merged.

Main lines, low angle first (2θ = 10–90°):
2θ (°)  Rel. int.  index
27.65  73  1 1 0
35.50  100  1 1 2
37.05  28  0 1 3
40.05  86  0 2 2
41.76  33  1 2 1
45.11  28  2 0 0
61.84  35  2 2 2
71.58  26  1 2 5

Crystal structure
Cell lengths 4.019, 5.407, 8.146 Å; angles 90.00, 90.00, 90.00 degrees
Space group Imm2 (No. 44)
Unique sites:
Er: 0.000 0.000 0.000
Tm: 0.000 0.000 0.410
Al: 0.000 0.500 0.205
Co: 0.000 0.276 0.705

(8)
Theoretical powder diffraction line list of NiAs2S4 for a wavelength of 1.5418 Å, from a cell relaxed with PBE.
Lines closer than 0.1° are merged.

Main lines, low angle first (2θ = 10–90°):
2θ (°)  Rel. int.  index
24.70  21  2 2 0
29.05  100  3 1 1
35.22  47  4 0 0
46.28  35  3 3 3
50.66  79  4 4 0
59.46  12  5 3 3
71.03  22  7 3 1
85.14  14  8 4 0

Crystal structure
Cell lengths 10.193, 10.193, 10.193 Å; angles 90.00, 90.00, 90.00 degrees
Space group Fd-3m (No. 227, origin choice 2)
Unique sites:
Ni: 0.125 0.125 0.125
As: 0.000 0.000 0.500
S: 0.001 0.001 0.249